[1]
Diffraction record for NdNi12Sn6. The PXRD pattern is computed, not measured: it uses a structure optimized by DFT (PBE) and Cu Kα.
No peak broadening, texture or thermal motion is included.

Top 10 peaks for 5 to 70 degrees two-theta, by intensity:
2θ (°), intensity
44.8, 100
41.6, 91
42.7, 80
26.8, 78
52.3, 65
46.4, 64
35.5, 62
32.0, 56
34.2, 50
32.7, 41

Crystal structure
```
19
Lattice="5.483 3.166 2.983 -5.483 3.166 2.983 0.000 -6.331 2.983" Properties=species:S:1:pos:R:3 pbc="T T T"
Nd 0.000 0.000 0.000
Ni -2.140 -3.706 4.475
Ni -4.279 0.000 4.475
Ni -1.331 -0.769 2.477
Ni 1.331 -0.769 2.477
Ni 0.000 1.537 2.477
Ni 2.140 -3.706 4.475
Ni -2.140 3.706 4.475
Ni 0.000 -1.537 6.473
Ni -1.331 0.769 6.473
Ni 1.331 0.769 6.473
Ni 4.279 0.000 4.475
Ni 2.140 3.706 4.475
Sn 0.000 -2.677 3.706
Sn -2.319 1.339 3.706
Sn -2.319 -1.339 5.244
Sn 2.319 1.339 3.706
Sn 2.319 -1.339 5.244
Sn 0.000 2.677 5.244
```


[2]
Diffraction record for Nd3Ni6Sn5. The PXRD pattern is computed, not measured: it uses a structure optimized by DFT (PBE) and Cu Kα.
No peak broadening, texture or thermal motion is included.

Top 10 peaks for 5 to 70 degrees two-theta, by intensity:
2θ (°), intensity
34.5, 100
41.6, 33
34.6, 28
41.3, 20
29.0, 19
33.0, 14
60.0, 13
65.3, 12
55.1, 11
37.3, 11

Crystal structure
```
28
Lattice="4.345 0.000 0.000 0.000 13.114 0.000 0.000 0.000 9.679" Properties=species:S:1:pos:R:3 pbc="T T T"
Nd 1.086 0.856 2.412
Nd 1.086 5.701 2.412
Nd 1.086 9.836 2.596
Nd 3.259 3.279 7.083
Nd 3.259 7.413 7.267
Nd 3.259 12.259 7.267
Ni 1.086 0.992 8.488
Ni 1.086 3.279 4.484
Ni 1.086 3.279 9.571
Ni 1.086 5.565 8.488
Ni 1.086 8.055 5.021
Ni 1.086 11.616 5.021
Ni 3.259 1.498 4.658
Ni 3.259 5.059 4.658
Ni 3.259 7.549 1.190
Ni 3.259 9.836 0.108
Ni 3.259 9.836 5.195
Ni 3.259 12.122 1.190
Sn 1.086 1.048 5.871
Sn 1.086 5.509 5.871
Sn 1.086 8.106 9.562
Sn 1.086 9.836 6.826
Sn 1.086 11.566 9.562
Sn 3.259 1.549 0.116
Sn 3.259 3.279 2.853
Sn 3.259 5.008 0.116
Sn 3.259 7.605 3.808
Sn 3.259 12.066 3.808
```


> What is the formula in the first record?

NdNi12Sn6


What did the first record say?
Diffraction record for NdNi12Sn6. The PXRD pattern is computed, not measured: it uses a structure optimized by DFT (PBE) and Cu Kα.
No peak broadening, texture or thermal motion is included.

Top 10 peaks for 5 to 70 degrees two-theta, by intensity:
2θ (°), intensity
44.8, 100
41.6, 91
42.7, 80
26.8, 78
52.3, 65
46.4, 64
35.5, 62
32.0, 56
34.2, 50
32.7, 41

Crystal structure
```
19
Lattice="5.483 3.166 2.983 -5.483 3.166 2.983 0.000 -6.331 2.983" Properties=species:S:1:pos:R:3 pbc="T T T"
Nd 0.000 0.000 0.000
Ni -2.140 -3.706 4.475
Ni -4.279 0.000 4.475
Ni -1.331 -0.769 2.477
Ni 1.331 -0.769 2.477
Ni 0.000 1.537 2.477
Ni 2.140 -3.706 4.475
Ni -2.140 3.706 4.475
Ni 0.000 -1.537 6.473
Ni -1.331 0.769 6.473
Ni 1.331 0.769 6.473
Ni 4.279 0.000 4.475
Ni 2.140 3.706 4.475
Sn 0.000 -2.677 3.706
Sn -2.319 1.339 3.706
Sn -2.319 -1.339 5.244
Sn 2.319 1.339 3.706
Sn 2.319 -1.339 5.244
Sn 0.000 2.677 5.244
```